Diffraction record for Nb12InSn3. The powder diffraction line list is simulated, not measured: it uses a cell relaxed with GGA-PBE and Cu Kα (weighted mean of Kα1 and Kα2).
Neutral-atom scattering factors, no anomalous dispersion.

Top 10 peaks for 10 to 80 degrees two-theta, in order of rising 2θ:
- hkl 0 2 0, 33.42°, I = 23
- hkl 2 0 0, 33.65°, I = 23
- hkl 0 0 4, 33.80°, I = 23
- hkl 1 2 0, 37.57°, I = 52
- hkl 2 0 2, 37.76°, I = 52
- hkl 0 1 4, 37.87°, I = 52
- hkl 1 2 2, 41.36°, I = 54
- hkl 2 1 2, 41.56°, I = 100
- hkl 1 3 4, 65.32°, I = 26
- hkl 3 1 4, 65.63°, I = 24

Structure:
Lattice parameters (Å, degrees): 5.326 5.363 10.608 90.00 90.00 90.00
Space group Pmmm (No. 47)
Unique sites:
Nb: 0.000 0.000 0.128
Nb: 0.000 0.000 0.371
Nb: 0.248 0.500 0.000
Nb: 0.252 0.500 0.500
Nb: 0.500 0.256 0.251
In: 0.500 0.000 0.000
Sn: 0.000 0.500 0.250
Sn: 0.500 0.000 0.500

---

Diffraction record for NdIn3. The powder diffraction line list is simulated, not measured: it uses a cell relaxed with GGA-PBE and Cu Kα (weighted mean of Kα1 and Kα2).
Neutral-atom scattering factors, no anomalous dispersion.

Top 7 peaks for 10 to 80 degrees two-theta, in order of rising 2θ:
- hkl 1 0 0, 18.79°, I = 1
- hkl 1 1 0, 26.69°, I = 1
- hkl 1 1 1, 32.84°, I = 100
- hkl 2 0 0, 38.10°, I = 50
- hkl 2 2 0, 54.98°, I = 34
- hkl 3 1 1, 65.54°, I = 39
- hkl 2 2 2, 68.86°, I = 11

Structure:
Lattice parameters (Å, degrees): 4.724 4.724 4.724 90.00 90.00 90.00
Space group Pm-3m (No. 221)
Unique sites:
Nd: 0.000 0.000 0.000
In: 0.000 0.500 0.500

---

Diffraction record for NdIn. The powder diffraction line list is simulated, not measured: it uses a cell relaxed with GGA-PBE and Cu Kα (weighted mean of Kα1 and Kα2).
Neutral-atom scattering factors, no anomalous dispersion.

Top 7 peaks for 10 to 80 degrees two-theta, in order of rising 2θ:
- hkl 1 0 0, 22.91°, I = 1
- hkl 1 1 0, 32.62°, I = 100
- hkl 2 0 0, 46.80°, I = 18
- hkl 2 1 0, 52.73°, I = 1
- hkl 2 1 1, 58.21°, I = 37
- hkl 2 2 0, 68.34°, I = 11
- hkl 3 1 0, 77.80°, I = 16

Structure:
Lattice parameters (Å, degrees): 3.882 3.882 3.882 90.00 90.00 90.00
Space group Pm-3m (No. 221)
Unique sites:
Nd: 0.000 0.000 0.000
In: 0.500 0.500 0.500